Structure and theoretical powder diffraction line list of Pm12Sm7Sc (DFT lattice parameters and positions (GGA-PBE); λ = 1.5418 Å (Cu Kα)).
Neutral-atom scattering factors, no anomalous dispersion.

Structural model:
```
Pm12Sm7Sc
1.0
6.9181 0.0000 0.0000
-0.6008 9.3974 0.0000
-2.9947 -4.1472 10.4565
Pm Sm Sc
12 7 1
Direct
0.0649 0.0302 0.3830
0.2082 0.8445 0.1031
0.2506 0.4512 0.0011
0.2955 0.0585 0.9080
0.3673 0.2755 0.6851
0.4172 0.8748 0.5948
0.5828 0.1252 0.4052
0.6327 0.7245 0.3149
0.7045 0.9415 0.0920
0.7494 0.5488 0.9989
0.7918 0.1555 0.8969
0.9350 0.9698 0.6170
0.0000 0.5000 0.5000
0.1187 0.6234 0.2840
0.1518 0.2417 0.2111
0.3540 0.6655 0.8059
0.6460 0.3345 0.1941
0.8482 0.7583 0.7889
0.8813 0.3766 0.7160
0.5000 0.5000 0.5000
```

Top 10 peaks for 2θ = 5–70°, low angle first:
two_theta	intensity
29.09	445
30.38	195
30.77	922
31.15	698
31.38	820
31.91	816
32.18	1000
32.86	278
47.82	217
51.86	171